Record 1
Diffraction record for Ba7Fe7F34. The powder XRD pattern is computed, not measured: it uses a DFT-relaxed cell (PBE+U, the Materials Project) and copper Kα.

Main lines, by angle (2θ = 10–80°):
22.8°, intensity 46.6, hkl 3 1 1; 23.7°, intensity 57.5, hkl 1 1 -2; 25.9°, intensity 24.3, hkl 1 3 -1; 26.1°, intensity 100.0, hkl 4 2 0; 26.7°, intensity 37.6, hkl 4 2 -1; 27.7°, intensity 91.2, hkl 0 2 2; 39.1°, intensity 23.5, hkl 5 3 -2; 42.3°, intensity 30.7, hkl 3 5 0

Atomic structure:
abc: 17.292 11.557 7.929
angles: 90.00 102.40 90.00
Space group C2/m (No. 12)
Inequivalent atoms, fractional coordinates:
Ba 0.000 0.000 0.000 [2 per cell]
Ba 0.145 0.305 0.300 [8 per cell]
Ba 0.238 0.500 0.885 [4 per cell]
Fe 0.000 0.500 0.500 [2 per cell]
Fe 0.107 0.245 0.800 [8 per cell]
Fe 0.165 0.000 0.540 [4 per cell]
F 0.002 0.217 0.196 [8 per cell]
F 0.071 0.500 0.323 [4 per cell]
F 0.083 0.366 0.616 [8 per cell]
F 0.102 0.000 0.307 [4 per cell]
F 0.102 0.122 0.619 [8 per cell]
F 0.124 0.368 0.972 [8 per cell]
F 0.132 0.130 0.989 [8 per cell]
F 0.219 0.263 0.800 [8 per cell]
F 0.230 0.119 0.457 [8 per cell]
F 0.246 0.000 0.756 [4 per cell]

Record 2
Diffraction record for Li2VF6. The powder XRD pattern is computed, not measured: it uses a DFT-relaxed cell (PBE+U, the Materials Project) and copper Kα.

Main lines, by angle (2θ = 10–80°):
19.7°, intensity 19.9, hkl 0 0 1; 20.7°, intensity 89.3, hkl 1 0 0; 28.8°, intensity 79.9, hkl 1 0 1; 41.7°, intensity 100.0, hkl 1 1 1; 47.0°, intensity 18.5, hkl 2 0 1; 55.2°, intensity 47.0, hkl 1 1 2; 60.8°, intensity 18.2, hkl 2 1 1; 65.3°, intensity 25.8, hkl 3 0 0

Atomic structure:
abc: 4.9469 4.9469 4.5047
angles: 90.00 90.00 120.00
Space group P-31m (No. 162)
Inequivalent atoms, fractional coordinates:
Li 0.3333 0.6667 0.0000 [2 per cell]
V 0.0000 0.0000 0.5000 [1 per cell]
F 0.0000 0.3131 0.2526 [6 per cell]

Record 3
Diffraction record for MgCr2O4. The powder XRD pattern is computed, not measured: it uses a DFT-relaxed cell (PBE+U, the Materials Project) and copper Kα.

Main lines, by angle (2θ = 10–80°):
24.6°, intensity 69.0, hkl 1 0 -1; 25.8°, intensity 55.4, hkl 1 0 1; 35.2°, intensity 100.0, hkl 1 1 0; 36.1°, intensity 30.1, hkl 2 0 0; 40.1°, intensity 27.7, hkl 1 1 1; 50.5°, intensity 79.8, hkl 2 0 -2; 51.8°, intensity 57.2, hkl 1 1 2; 64.4°, intensity 33.2, hkl 3 1 0

Atomic structure:
abc: 4.979 2.963 5.015
angles: 90.00 92.77 90.00
Space group P2/m (No. 10)
Inequivalent atoms, fractional coordinates:
Mg 0.000 0.000 0.000 [1 per cell]
Cr 0.000 0.000 0.500 [1 per cell]
Cr 0.500 0.500 0.000 [1 per cell]
O 0.155 0.500 0.261 [2 per cell]
O 0.318 0.000 0.789 [2 per cell]

Record 4
Diffraction record for Rb2FeHgF6. The powder XRD pattern is computed, not measured: it uses a DFT-relaxed cell (PBE+U, the Materials Project) and copper Kα.

Main lines, by angle (2θ = 10–80°):
16.9°, intensity 16.0, hkl 1 1 1; 27.8°, intensity 100.0, hkl 2 2 0; 32.7°, intensity 17.9, hkl 3 1 1; 39.8°, intensity 34.6, hkl 4 0 0; 49.2°, intensity 39.6, hkl 4 2 2; 57.5°, intensity 21.2, hkl 4 4 0; 65.0°, intensity 20.2, hkl 6 2 0; 79.0°, intensity 22.5, hkl 6 4 2

Atomic structure:
abc: 9.070 9.070 9.070
angles: 90.00 90.00 90.00
Space group Fm-3m (No. 225)
Inequivalent atoms, fractional coordinates:
Rb 0.250 0.250 0.250 [8 per cell]
Fe 0.000 0.000 0.000 [4 per cell]
Hg 0.000 0.000 0.500 [4 per cell]
F 0.000 0.000 0.217 [24 per cell]

Record 5
Diffraction record for Li6VO4F. The powder XRD pattern is computed, not measured: it uses a DFT-relaxed cell (PBE+U, the Materials Project) and copper Kα.

Main lines, by angle (2θ = 10–80°):
18.5°, intensity 52.9, hkl 0 0 2; 18.7°, intensity 43.8, hkl 1 -1 0; 21.8°, intensity 81.2, hkl 0 2 0; 22.5°, intensity 94.5, hkl 1 1 0; 26.4°, intensity 100.0, hkl 1 -1 2; 36.0°, intensity 52.6, hkl 1 3 -2; 43.6°, intensity 53.1, hkl 1 -3 4; 44.7°, intensity 43.9, hkl 2 0 2

Atomic structure:
abc: 5.269 9.056 10.819
angles: 113.13 101.49 95.99
Space group P1 (No. 1)
Inequivalent atoms, fractional coordinates:
Li 0.000 0.000 0.000 [1 per cell]
Li 0.002 0.185 0.500 [1 per cell]
Li 0.091 0.199 0.240 [1 per cell]
Li 0.099 0.315 0.998 [1 per cell]
Li 0.119 0.727 0.291 [1 per cell]
Li 0.150 0.225 0.740 [1 per cell]
Li 0.174 0.748 0.791 [1 per cell]
Li 0.294 0.892 0.680 [1 per cell]
Li 0.333 0.477 0.737 [1 per cell]
Li 0.387 0.973 0.180 [1 per cell]
Li 0.401 0.368 0.498 [1 per cell]
Li 0.405 0.444 0.237 [1 per cell]
Li 0.500 0.500 0.000 [1 per cell]
Li 0.502 0.685 0.500 [1 per cell]
Li 0.591 0.699 0.240 [1 per cell]
Li 0.598 0.815 0.998 [1 per cell]
Li 0.619 0.227 0.291 [1 per cell]
Li 0.650 0.725 0.740 [1 per cell]
Li 0.674 0.248 0.791 [1 per cell]
Li 0.794 0.392 0.680 [1 per cell]
Li 0.834 0.977 0.737 [1 per cell]
Li 0.887 0.473 0.180 [1 per cell]
Li 0.901 0.868 0.498 [1 per cell]
Li 0.905 0.944 0.237 [1 per cell]
V 0.036 0.626 0.999 [1 per cell]
V 0.465 0.058 0.500 [1 per cell]
V 0.536 0.126 0.999 [1 per cell]
V 0.965 0.558 0.500 [1 per cell]
O 0.101 0.438 0.848 [1 per cell]
O 0.209 0.818 0.989 [1 per cell]
O 0.248 0.096 0.349 [1 per cell]
O 0.250 0.562 0.142 [1 per cell]
O 0.281 0.855 0.489 [1 per cell]
O 0.309 0.204 0.123 [1 per cell]
O 0.316 0.603 0.623 [1 per cell]
O 0.395 0.265 0.642 [1 per cell]
O 0.601 0.938 0.848 [1 per cell]
O 0.709 0.318 0.988 [1 per cell]
O 0.748 0.596 0.349 [1 per cell]
O 0.750 0.061 0.142 [1 per cell]
O 0.782 0.355 0.489 [1 per cell]
O 0.809 0.704 0.124 [1 per cell]
O 0.816 0.103 0.623 [1 per cell]
O 0.895 0.765 0.642 [1 per cell]
F 0.168 0.426 0.345 [1 per cell]
F 0.179 0.105 0.846 [1 per cell]
F 0.668 0.926 0.345 [1 per cell]
F 0.677 0.604 0.846 [1 per cell]